For Ga5Pd13, a GGA-PBE-relaxed structure gives the calculated powder XRD pattern in this record (copper Kα).
Lines closer than 0.1° are merged.

Structure:
```
data_Ga5Pd13
_chemical_formula_sum 'Ga10 Pd26'
_symmetry_space_group_name_H-M 'C 1 2/m 1'
_symmetry_Int_Tables_number 12
_symmetry_space_group_name_Hall '-C 2y'
_cell_length_a 24.6142
_cell_length_b 4.1021
_cell_length_c 5.5436
_cell_angle_alpha 90.00
_cell_angle_beta 102.57
_cell_angle_gamma 90.00
loop_
_atom_site_label
_atom_site_fract_x
_atom_site_fract_y
_atom_site_fract_z
Ga1 0.0000 0.0000 0.0000
Ga2 0.1059 0.0000 0.6446
Ga3 0.1768 0.5000 0.3125
Pd1 0.0000 0.0000 0.5000
Pd2 0.0450 0.5000 0.8482
Pd3 0.0705 0.5000 0.3733
Pd4 0.1127 0.0000 0.1242
Pd5 0.1601 0.5000 0.8292
Pd6 0.2125 0.0000 0.5929
Pd7 0.2245 0.0000 0.1093
```

Largest 12 diffraction maxima, most intense first, 2θ from 10° to 90°:
| d [Å] | intensity | index |
| --- | --- | --- |
| 2.237 | 100 | 9 1 0 |
| 2.287 | 96 | 1 1 -2 |
| 2.051 | 48 | 0 2 0 |
| 2.213 | 30 | 1 1 2 |
| 2.029 | 24 | 10 0 -2 |
| 2.204 | 18 | 5 1 -2 |
| 1.822 | 16 | 8 0 2 |
| 1.442 | 16 | 10 2 -2 |
| 1.217 | 14 | 9 3 0 |
| 1.362 | 12 | 8 2 2 |
| 1.225 | 11 | 1 3 -2 |
| 2.271 | 8 | 8 0 -2 |


For GaPd3, a GGA-PBE-relaxed structure gives the calculated powder XRD pattern in this record (copper Kα).
Lines closer than 0.1° are merged.

Structure:
```
data_GaPd3
_chemical_formula_sum 'Ga1 Pd3'
_symmetry_space_group_name_H-M 'P m -3 m'
_symmetry_Int_Tables_number 221
_symmetry_space_group_name_Hall '-P 4 2 3'
_cell_length_a 3.9289
_cell_length_b 3.9289
_cell_length_c 3.9289
_cell_angle_alpha 90.00
_cell_angle_beta 90.00
_cell_angle_gamma 90.00
loop_
_atom_site_label
_atom_site_fract_x
_atom_site_fract_y
_atom_site_fract_z
Ga1 0.0000 0.0000 0.0000
Pd1 0.0000 0.5000 0.5000
```

Largest 9 diffraction maxima, most intense first, 2θ from 10° to 90°:
| d [Å] | intensity | index |
| --- | --- | --- |
| 2.268 | 100 | 1 1 1 |
| 1.964 | 48 | 2 0 0 |
| 1.185 | 36 | 3 1 1 |
| 1.389 | 30 | 2 2 0 |
| 1.134 | 11 | 2 2 2 |
| 3.929 | 3 | 1 0 0 |
| 2.778 | 2 | 1 1 0 |
| 1.757 | 1 | 2 1 0 |
| 1.604 | 1 | 2 1 1 |


For GaPd2, a GGA-PBE-relaxed structure gives the calculated powder XRD pattern in this record (copper Kα).
Lines closer than 0.1° are merged.

Structure:
```
data_GaPd2
_chemical_formula_sum 'Ga4 Pd8'
_symmetry_space_group_name_H-M 'P n m a'
_symmetry_Int_Tables_number 62
_symmetry_space_group_name_Hall '-P 2ac 2n'
_cell_length_a 5.5904
_cell_length_b 4.1026
_cell_length_c 7.9085
_cell_angle_alpha 90.00
_cell_angle_beta 90.00
_cell_angle_gamma 90.00
loop_
_atom_site_label
_atom_site_fract_x
_atom_site_fract_y
_atom_site_fract_z
Ga1 0.2050 0.2500 0.1080
Pd1 0.0413 0.2500 0.7919
Pd2 0.1642 0.2500 0.4336
```

Largest 12 diffraction maxima, most intense first, 2θ from 10° to 90°:
| d [Å] | intensity | index |
| --- | --- | --- |
| 2.218 | 100 | 0 1 3 |
| 2.310 | 38 | 2 1 0 |
| 2.051 | 32 | 0 2 0 |
| 2.283 | 17 | 2 0 2 |
| 1.918 | 16 | 2 0 3 |
| 2.537 | 15 | 1 1 2 |
| 1.214 | 14 | 0 3 3 |
| 2.384 | 12 | 1 0 3 |
| 1.401 | 11 | 2 2 3 |
| 2.061 | 10 | 1 1 3 |
| 1.526 | 9 | 2 2 2 |
| 1.288 | 7 | 3 1 4 |


For PmGaPd2, a GGA-PBE-relaxed structure gives the calculated powder XRD pattern in this record (copper Kα).
Lines closer than 0.1° are merged.

Structure:
```
data_PmGaPd2
_chemical_formula_sum 'Pm4 Ga4 Pd8'
_symmetry_space_group_name_H-M 'F m -3 m'
_symmetry_Int_Tables_number 225
_symmetry_space_group_name_Hall '-F 4 2 3'
_cell_length_a 6.7532
_cell_length_b 6.7532
_cell_length_c 6.7532
_cell_angle_alpha 90.00
_cell_angle_beta 90.00
_cell_angle_gamma 90.00
loop_
_atom_site_label
_atom_site_fract_x
_atom_site_fract_y
_atom_site_fract_z
Pm1 0.0000 0.0000 0.0000
Ga1 0.0000 0.0000 0.5000
Pd1 0.2500 0.2500 0.2500
```

Largest 9 diffraction maxima, most intense first, 2θ from 10° to 90°:
| d [Å] | intensity | index |
| --- | --- | --- |
| 2.388 | 100 | 2 2 0 |
| 1.379 | 34 | 4 2 2 |
| 1.688 | 17 | 4 0 0 |
| 1.194 | 11 | 4 4 0 |
| 3.899 | 7 | 1 1 1 |
| 2.036 | 4 | 3 1 1 |
| 1.549 | 2 | 3 3 1 |
| 1.142 | 1 | 5 3 1 |
| 1.300 | 1 | 5 1 1 |